For DyThCd5, a cell relaxed with PBE gives the computed X-ray diffraction stick pattern in this record (Cu Kα X-rays).
Peak positions follow from Bragg's law for the DFT cell and can differ from measured ones.

Top 10 peaks for 5 to 70 degrees two-theta, by angle:
d 4.168, I = 29; d 3.246, I = 13; d 2.587, I = 55; d 2.535, I = 100; d 2.198, I = 11; d 2.135, I = 5; d 1.830, I = 19; d 1.758, I = 7; d 1.484, I = 37; d 1.454, I = 15

Lattice parameters (Å, degrees): 5.175 5.175 7.031 90.00 90.00 90.00
Space group P4/mmm (No. 123)
Unique sites:
1 Dy 0.000 0.000 0.000 x1
2 Th 0.500 0.500 0.500 x1
3 Cd 0.000 0.000 0.500 x1
4 Cd 0.000 0.500 0.227 x4



For Dy2ThCd8, a cell relaxed with PBE gives the computed X-ray diffraction stick pattern in this record (Cu Kα X-rays).
Peak positions follow from Bragg's law for the DFT cell and can differ from measured ones.

Top 10 peaks for 5 to 70 degrees two-theta, by angle:
d 3.640, I = 25; d 2.845, I = 28; d 2.722, I = 100; d 2.698, I = 92; d 2.679, I = 44; d 2.633, I = 24; d 2.480, I = 70; d 2.440, I = 26; d 2.430, I = 43; d 2.236, I = 29

Lattice parameters (Å, degrees): 5.358 6.372 15.799 90.00 90.00 90.00
Space group Immm (No. 71)
Unique sites:
1 Dy 0.000 0.000 0.188 x4
2 Th 0.000 0.500 0.000 x2
3 Cd 0.000 0.229 0.372 x8
4 Cd 0.000 0.500 0.205 x4
5 Cd 0.247 0.000 0.000 x4



For Dy2Tl2Cd, a cell relaxed with PBE gives the computed X-ray diffraction stick pattern in this record (Cu Kα X-rays).
Peak positions follow from Bragg's law for the DFT cell and can differ from measured ones.

Top 10 peaks for 5 to 70 degrees two-theta, by angle:
d 5.554, I = 8; d 2.937, I = 8; d 2.751, I = 100; d 2.484, I = 32; d 2.213, I = 13; d 1.750, I = 11; d 1.652, I = 13; d 1.420, I = 8; d 1.385, I = 16; d 1.360, I = 12

Lattice parameters (Å, degrees): 7.854 7.854 8.851 90.00 90.00 90.00
Space group P4/mnc (No. 128)
Unique sites:
1 Dy 0.164 0.332 0.000 x8
2 Tl 0.137 0.637 0.250 x8
3 Cd 0.000 0.000 0.299 x4